This entry pairs a crystal structure of Pm2MgNiO5 with its computed powder diffractogram. Radiation: a wavelength of 1.5418 Å. Structure: a structure optimized by DFT (GGA+U).
No peak broadening, texture or thermal motion is included.

Structure:
```
Pm2MgNiO5
1.0
6.5605 0.0000 0.0000
0.0000 6.5605 0.0000
0.0000 0.0000 5.5595
Pm Mg Ni O
4 2 2 10
direct
0.1718 0.3282 0.0000
0.3282 0.8282 0.0000
0.6718 0.1718 0.0000
0.8282 0.6718 0.0000
0.0000 0.0000 0.5000
0.5000 0.5000 0.5000
0.0000 0.5000 0.5000
0.5000 0.0000 0.5000
0.0000 0.0000 0.0000
0.1421 0.6421 0.2669
0.1421 0.6421 0.7331
0.3579 0.1421 0.2669
0.3579 0.1421 0.7331
0.5000 0.5000 0.0000
0.6421 0.8579 0.2669
0.6421 0.8579 0.7331
0.8579 0.3579 0.2669
0.8579 0.3579 0.7331
```

Peak list (10 most intense, 2θ from 10° to 90°, by angle)
two_theta  I_rel  (hkl)
15.94  76  0 0 1
19.13  30  1 1 0
30.47  38  2 1 0
31.67  72  2 0 1
32.20  35  0 0 2
34.57  100  2 1 1
44.92  67  2 1 2
46.74  31  3 1 1
60.52  24  4 1 1
67.85  30  4 1 2